Simulated X-ray powder pattern
Compound: Pm2Nd12Y
Radiation: Cu Kα (weighted mean of Kα1 and Kα2)
Structure: the GGA-PBE geometry in Alexandria
Lines closer than 0.1° are merged.

Top 8 peaks for 2θ = 5–70°, sorted by position:
2θ 28.43, I 22; 2θ 29.12, I 53; 2θ 29.87, I 92; 2θ 30.56, I 78; 2θ 30.93, I 21; 2θ 32.31, I 100; 2θ 36.17, I 41; 2θ 60.11, I 22

Cell and atoms:
abc: 6.881 6.881 25.200
angles: 90.00 90.00 116.50
Fractional positions:
Pm1 0.250 0.750 0.233
Pm2 0.250 0.750 0.773
Pm3 0.750 0.250 0.227
Pm4 0.750 0.250 0.767
Nd1 0.002 0.502 0.629
Nd2 0.002 0.998 0.425
Nd3 0.021 0.521 0.083
Nd4 0.024 0.976 0.940
Nd5 0.250 0.250 0.174
Nd6 0.250 0.250 0.301
Nd7 0.250 0.250 0.699
Nd8 0.250 0.250 0.826
Nd9 0.476 0.524 0.940
Nd10 0.479 0.979 0.083
Nd11 0.498 0.502 0.425
Nd12 0.498 0.998 0.629
Nd13 0.502 0.002 0.371
Nd14 0.502 0.498 0.575
Nd15 0.521 0.021 0.917
Nd16 0.524 0.476 0.060
Nd17 0.750 0.750 0.174
Nd18 0.750 0.750 0.301
Nd19 0.750 0.750 0.699
Nd20 0.750 0.750 0.826
Nd21 0.976 0.024 0.060
Nd22 0.979 0.479 0.917
Nd23 0.998 0.002 0.575
Nd24 0.998 0.498 0.371
Y1 0.250 0.750 0.501
Y2 0.750 0.250 0.499